The following is a theoretical X-ray powder pattern of AcCr3O9. It was derived from a structure optimized by DFT (PBE+U), using Cu Kα, 1.54184 Å.
No peak broadening, texture or thermal motion is included.

Top 10 peaks for 15 to 90 degrees two-theta, sorted by position:
| Position (°2θ) | intensity |
| --- | --- |
| 16.40 | 36 |
| 22.22 | 40 |
| 22.54 | 100 |
| 23.65 | 85 |
| 26.55 | 70 |
| 31.90 | 49 |
| 32.90 | 42 |
| 36.78 | 28 |
| 42.12 | 29 |
| 49.61 | 25 |

Crystal structure
Cell lengths 7.7232, 7.7232, 7.8896 Å; angles 90.00, 90.00, 106.11 degrees
Fractional coordinates of all 26 atoms:
Ac: 0.1180 0.1180 0.0000
Ac: 0.8820 0.8820 0.5000
Cr: 0.2496 0.2496 0.5000
Cr: 0.3076 0.6619 0.9610
Cr: 0.3381 0.6924 0.5390
Cr: 0.6619 0.3076 0.0390
Cr: 0.6924 0.3381 0.4610
Cr: 0.7504 0.7504 0.0000
O: 0.1185 0.1638 0.6700
O: 0.1638 0.1185 0.3300
O: 0.1778 0.7969 0.5302
O: 0.2031 0.8222 0.9698
O: 0.2040 0.4603 0.0388
O: 0.2462 0.4708 0.4495
O: 0.3729 0.6271 0.7500
O: 0.4603 0.2040 0.9612
O: 0.4708 0.2462 0.5505
O: 0.5292 0.7538 0.0505
O: 0.5397 0.7960 0.4612
O: 0.6271 0.3729 0.2500
O: 0.7538 0.5292 0.9495
O: 0.7960 0.5397 0.5388
O: 0.7969 0.1778 0.4698
O: 0.8222 0.2031 0.0302
O: 0.8362 0.8815 0.8300
O: 0.8815 0.8362 0.1700